1.
Starting from DFT lattice parameters and positions (GGA-PBE), the XRD peak list of Tb3Y2Tm8 was calculated for λ = 1.5418 Å (Cu Kα).

The 12 most intense peaks (2θ = 10–90°), by angle:
- 2θ = 17.56°, d 5.049, rel. 133
- 2θ = 25.16°, d 3.539, rel. 145
- 2θ = 28.62°, d 3.119, rel. 114
- 2θ = 29.82°, d 2.996, rel. 293
- 2θ = 31.08°, d 2.877, rel. 286
- 2θ = 32.41°, d 2.763, rel. 397
- 2θ = 33.77°, d 2.654, rel. 1000
- 2θ = 35.51°, d 2.528, rel. 125
- 2θ = 48.83°, d 1.865, rel. 102
- 2θ = 58.68°, d 1.573, rel. 205
- 2θ = 65.07°, d 1.433, rel. 110
- 2θ = 68.41°, d 1.371, rel. 96

Cell and atoms:
a b c (Å): 7.5559 5.5253 10.7918
angles (deg): 90.00 110.45 90.00
Sites, in units of the cell vectors:
Tb1 0.0000 0.0000 0.0000
Tb2 0.2869 0.5000 0.9999
Tb3 0.7131 0.5000 0.0001
Y1 0.2413 0.0000 0.4821
Y2 0.7587 0.0000 0.5179
Tm1 0.1317 0.5000 0.2634
Tm2 0.1793 0.0000 0.7826
Tm3 0.3351 0.5000 0.6697
Tm4 0.3967 0.0000 0.2175
Tm5 0.6033 0.0000 0.7825
Tm6 0.6649 0.5000 0.3303
Tm7 0.8207 0.0000 0.2174
Tm8 0.8683 0.5000 0.7366



2.
Starting from DFT lattice parameters and positions (GGA-PBE), the XRD peak list of Sm8GaTe4Se3 was calculated for λ = 1.5418 Å (Cu Kα).

The 12 most intense peaks (2θ = 10–90°), by angle:
- 2θ = 25.38°, d 3.510, rel. 51
- 2θ = 29.18°, d 3.061, rel. 1000
- 2θ = 31.75°, d 2.818, rel. 58
- 2θ = 41.27°, d 2.187, rel. 352
- 2θ = 42.19°, d 2.142, rel. 378
- 2θ = 50.55°, d 1.805, rel. 55
- 2θ = 52.12°, d 1.755, rel. 197
- 2θ = 60.49°, d 1.530, rel. 113
- 2θ = 67.90°, d 1.380, rel. 134
- 2θ = 69.21°, d 1.358, rel. 166
- 2θ = 76.50°, d 1.245, rel. 113
- 2θ = 77.13°, d 1.237, rel. 63

Cell and atoms:
a b c (Å): 8.7535 8.7535 8.7535
angles (deg): 58.60 58.60 58.60
Sites, in units of the cell vectors:
Sm1 0.2400 0.2400 0.2400
Sm2 0.2468 0.7378 0.7378
Sm3 0.2622 0.2622 0.7532
Sm4 0.2622 0.7532 0.2622
Sm5 0.7378 0.2468 0.7378
Sm6 0.7378 0.7378 0.2468
Sm7 0.7532 0.2622 0.2622
Sm8 0.7600 0.7600 0.7600
Ga1 0.5000 0.5000 0.5000
Te1 0.0000 0.0000 0.0000
Te2 0.0000 0.5000 0.5000
Te3 0.5000 0.0000 0.5000
Te4 0.5000 0.5000 0.0000
Se1 0.0000 0.0000 0.5000
Se2 0.0000 0.5000 0.0000
Se3 0.5000 0.0000 0.0000



3.
Starting from DFT lattice parameters and positions (GGA-PBE), the XRD peak list of CePm2Tm12 was calculated for λ = 1.5418 Å (Cu Kα).

The 12 most intense peaks (2θ = 10–90°), by angle:
- 2θ = 30.61°, d 2.921, rel. 234
- 2θ = 30.76°, d 2.907, rel. 673
- 2θ = 31.53°, d 2.837, rel. 1000
- 2θ = 32.21°, d 2.779, rel. 827
- 2θ = 32.78°, d 2.732, rel. 398
- 2θ = 34.10°, d 2.629, rel. 416
- 2θ = 34.60°, d 2.592, rel. 520
- 2θ = 36.65°, d 2.452, rel. 228
- 2θ = 46.62°, d 1.948, rel. 300
- 2θ = 56.49°, d 1.629, rel. 221
- 2θ = 61.66°, d 1.504, rel. 219
- 2θ = 62.52°, d 1.486, rel. 249

Cell and atoms:
a b c (Å): 3.5158 5.5579 23.9390
angles (deg): 90.00 94.15 90.00
Sites, in units of the cell vectors:
Ce1 0.0000 0.0000 0.0000
Pm1 0.3596 0.0000 0.7195
Pm2 0.6404 0.0000 0.2805
Tm1 0.0949 0.5000 0.1920
Tm2 0.1656 0.5000 0.3303
Tm3 0.2150 0.0000 0.4280
Tm4 0.2769 0.5000 0.5550
Tm5 0.4339 0.0000 0.8649
Tm6 0.4667 0.5000 0.9331
Tm7 0.5333 0.5000 0.0669
Tm8 0.5661 0.0000 0.1351
Tm9 0.7231 0.5000 0.4450
Tm10 0.7850 0.0000 0.5720
Tm11 0.8344 0.5000 0.6697
Tm12 0.9051 0.5000 0.8080



4.
Starting from DFT lattice parameters and positions (GGA-PBE), the XRD peak list of La3Mg7In4 was calculated for λ = 1.5418 Å (Cu Kα).

The 12 most intense peaks (2θ = 10–90°), by angle:
- 2θ = 20.67°, d 4.297, rel. 175
- 2θ = 23.69°, d 3.756, rel. 227
- 2θ = 26.14°, d 3.409, rel. 226
- 2θ = 29.89°, d 2.989, rel. 225
- 2θ = 31.03°, d 2.882, rel. 440
- 2θ = 31.24°, d 2.863, rel. 1000
- 2θ = 31.61°, d 2.831, rel. 198
- 2θ = 32.06°, d 2.792, rel. 177
- 2θ = 32.22°, d 2.778, rel. 270
- 2θ = 36.95°, d 2.433, rel. 398
- 2θ = 39.04°, d 2.307, rel. 213
- 2θ = 59.75°, d 1.548, rel. 171

Cell and atoms:
a b c (Å): 9.2006 9.2006 10.6389
angles (deg): 124.64 124.64 30.66
Sites, in units of the cell vectors:
La1 0.0000 0.0000 0.0000
La2 0.2959 0.2959 0.2894
La3 0.7041 0.7041 0.7106
Mg1 0.0000 0.0000 0.5000
Mg2 0.1544 0.1544 0.4298
Mg3 0.3358 0.3358 0.9836
Mg4 0.4960 0.4960 0.6816
Mg5 0.5040 0.5040 0.3184
Mg6 0.6642 0.6642 0.0164
Mg7 0.8456 0.8456 0.5702
In1 0.1313 0.1313 0.8473
In2 0.3510 0.3510 0.7315
In3 0.6490 0.6490 0.2685
In4 0.8687 0.8687 0.1527



5.
Starting from DFT lattice parameters and positions (GGA-PBE), the XRD peak list of AcGeTe2 was calculated for λ = 1.5418 Å (Cu Kα).

The 12 most intense peaks (2θ = 10–90°), by angle:
- 2θ = 14.95°, d 5.924, rel. 124
- 2θ = 24.25°, d 3.670, rel. 142
- 2θ = 28.27°, d 3.156, rel. 1000
- 2θ = 29.85°, d 2.993, rel. 277
- 2θ = 30.17°, d 2.962, rel. 227
- 2θ = 35.61°, d 2.521, rel. 614
- 2θ = 35.89°, d 2.502, rel. 205
- 2θ = 38.51°, d 2.338, rel. 243
- 2θ = 39.28°, d 2.294, rel. 230
- 2θ = 49.47°, d 1.843, rel. 139
- 2θ = 54.25°, d 1.691, rel. 127
- 2θ = 56.18°, d 1.637, rel. 163

Cell and atoms:
a b c (Å): 4.5875 4.6760 6.3527
angles (deg): 90.00 111.16 90.00
Sites, in units of the cell vectors:
Ac1 0.0000 0.0000 0.0000
Ge1 0.8050 0.5000 0.6125
Te1 0.2953 0.0000 0.5908
Te2 0.5798 0.5000 0.1594



6.
Starting from DFT lattice parameters and positions (GGA-PBE), the XRD peak list of PuGa8Fe4 was calculated for λ = 1.5418 Å (Cu Kα).

The 12 most intense peaks (2θ = 10–90°), by angle:
- 2θ = 14.26°, d 6.209, rel. 121
- 2θ = 20.33°, d 4.367, rel. 116
- 2θ = 28.83°, d 3.096, rel. 253
- 2θ = 32.24°, d 2.777, rel. 148
- 2θ = 35.48°, d 2.530, rel. 357
- 2θ = 35.67°, d 2.517, rel. 148
- 2θ = 41.15°, d 2.193, rel. 1000
- 2θ = 41.35°, d 2.184, rel. 356
- 2θ = 46.44°, d 1.955, rel. 132
- 2θ = 67.82°, d 1.382, rel. 144
- 2θ = 74.97°, d 1.267, rel. 176
- 2θ = 75.08°, d 1.265, rel. 128

Cell and atoms:
a b c (Å): 6.6999 6.6999 6.6999
angles (deg): 98.11 98.11 135.87
Sites, in units of the cell vectors:
Pu1 0.0000 0.0000 0.0000
Ga1 0.0000 0.3378 0.3378
Ga2 0.0000 0.6622 0.6622
Ga3 0.2770 0.5000 0.7770
Ga4 0.3378 0.0000 0.3378
Ga5 0.5000 0.2770 0.7770
Ga6 0.5000 0.7230 0.2230
Ga7 0.6622 0.0000 0.6622
Ga8 0.7230 0.5000 0.2230
Fe1 0.0000 0.0000 0.5000
Fe2 0.0000 0.5000 0.0000
Fe3 0.5000 0.0000 0.0000
Fe4 0.5000 0.5000 0.5000



7.
Starting from DFT lattice parameters and positions (GGA-PBE), the XRD peak list of La3Nd6Tm2Mg was calculated for λ = 1.5418 Å (Cu Kα).

The 12 most intense peaks (2θ = 10–90°), by angle:
- 2θ = 30.03°, d 2.976, rel. 1000
- 2θ = 30.43°, d 2.937, rel. 315
- 2θ = 34.93°, d 2.569, rel. 664
- 2θ = 49.92°, d 1.827, rel. 84
- 2θ = 49.99°, d 1.824, rel. 162
- 2θ = 50.50°, d 1.807, rel. 226
- 2θ = 59.37°, d 1.557, rel. 97
- 2θ = 59.60°, d 1.551, rel. 188
- 2θ = 59.71°, d 1.549, rel. 92
- 2θ = 60.07°, d 1.540, rel. 87
- 2θ = 62.42°, d 1.488, rel. 124
- 2θ = 81.29°, d 1.184, rel. 79

Cell and atoms:
a b c (Å): 6.3256 6.3256 11.9402
angles (deg): 95.11 95.11 120.09
Sites, in units of the cell vectors:
La1 0.0000 0.0000 0.0000
La2 0.3322 0.6678 0.0000
La3 0.6678 0.3322 0.0000
Nd1 0.0896 0.4212 0.2591
Nd2 0.2478 0.2478 0.7424
Nd3 0.4212 0.0896 0.2591
Nd4 0.5788 0.9104 0.7409
Nd5 0.7522 0.7522 0.2576
Nd6 0.9104 0.5788 0.7409
Tm1 0.1662 0.8338 0.5000
Tm2 0.8338 0.1662 0.5000
Mg1 0.5000 0.5000 0.5000



8.
Starting from DFT lattice parameters and positions (GGA-PBE), the XRD peak list of KBaLi was calculated for λ = 1.5418 Å (Cu Kα).

The 12 most intense peaks (2θ = 10–90°), by angle:
- 2θ = 11.01°, d 8.034, rel. 550
- 2θ = 20.92°, d 4.247, rel. 1000
- 2θ = 22.13°, d 4.017, rel. 353
- 2θ = 26.20°, d 3.401, rel. 972
- 2θ = 28.67°, d 3.113, rel. 462
- 2θ = 30.80°, d 2.903, rel. 208
- 2θ = 34.55°, d 2.596, rel. 193
- 2θ = 36.51°, d 2.461, rel. 380
- 2θ = 44.51°, d 2.035, rel. 233
- 2θ = 46.46°, d 1.955, rel. 240
- 2θ = 47.07°, d 1.931, rel. 180
- 2θ = 49.31°, d 1.848, rel. 328

Cell and atoms:
a b c (Å): 4.4031 4.4031 16.0675
angles (deg): 90.00 90.00 90.00
Sites, in units of the cell vectors:
K1 0.0000 0.0000 0.0000
K2 0.5000 0.5000 0.5000
Ba1 0.0000 0.0000 0.2801
Ba2 0.5000 0.5000 0.7801
Li1 0.0000 0.0000 0.6426
Li2 0.5000 0.5000 0.1426



9.
Starting from DFT lattice parameters and positions (GGA-PBE), the XRD peak list of BiHRhO2 was calculated for λ = 1.5418 Å (Cu Kα).

The 12 most intense peaks (2θ = 10–90°), by angle:
- 2θ = 21.08°, d 4.214, rel. 154
- 2θ = 29.99°, d 2.980, rel. 567
- 2θ = 34.17°, d 2.624, rel. 1000
- 2θ = 40.50°, d 2.228, rel. 120
- 2θ = 42.92°, d 2.107, rel. 329
- 2θ = 55.97°, d 1.643, rel. 496
- 2θ = 62.32°, d 1.490, rel. 106
- 2θ = 63.68°, d 1.461, rel. 144
- 2θ = 70.69°, d 1.333, rel. 107
- 2θ = 71.97°, d 1.312, rel. 138
- 2θ = 73.03°, d 1.296, rel. 114
- 2θ = 88.61°, d 1.104, rel. 146

Cell and atoms:
a b c (Å): 4.2141 4.2141 3.3535
angles (deg): 90.00 90.00 90.00
Sites, in units of the cell vectors:
Bi1 0.0000 0.0000 0.0000
H1 0.5000 0.5000 0.0000
Rh1 0.5000 0.5000 0.5000
O1 0.0000 0.5000 0.5000
O2 0.5000 0.0000 0.5000



10.
Starting from DFT lattice parameters and positions (GGA-PBE), the XRD peak list of Sm6HoTm3 was calculated for λ = 1.5418 Å (Cu Kα).

The 12 most intense peaks (2θ = 10–90°), by angle:
- 2θ = 28.06°, d 3.180, rel. 188
- 2θ = 28.56°, d 3.126, rel. 567
- 2θ = 28.65°, d 3.115, rel. 608
- 2θ = 30.21°, d 2.959, rel. 315
- 2θ = 31.47°, d 2.843, rel. 1000
- 2θ = 31.59°, d 2.832, rel. 644
- 2θ = 33.07°, d 2.708, rel. 237
- 2θ = 33.86°, d 2.648, rel. 423
- 2θ = 34.41°, d 2.606, rel. 531
- 2θ = 40.53°, d 2.226, rel. 218
- 2θ = 50.74°, d 1.799, rel. 210
- 2θ = 60.05°, d 1.541, rel. 205

Cell and atoms:
a b c (Å): 11.0522 11.0522 6.2229
angles (deg): 90.00 90.00 120.32
Sites, in units of the cell vectors:
Sm1 0.0411 0.9589 0.5000
Sm2 0.0552 0.4768 0.9400
Sm3 0.2785 0.7215 0.2330
Sm4 0.2890 0.3769 0.1266
Sm5 0.3769 0.2890 0.6266
Sm6 0.4768 0.0552 0.4400
Sm7 0.5232 0.9448 0.9400
Sm8 0.6231 0.7110 0.1266
Sm9 0.7110 0.6231 0.6266
Sm10 0.7215 0.2785 0.7330
Sm11 0.9448 0.5232 0.4400
Sm12 0.9589 0.0411 0.0000
Ho1 0.2000 0.8000 0.7080
Ho2 0.8000 0.2000 0.2080
Tm1 0.0555 0.2779 0.5514
Tm2 0.2779 0.0555 0.0514
Tm3 0.3872 0.6128 0.6597
Tm4 0.6128 0.3872 0.1597
Tm5 0.7221 0.9445 0.5514
Tm6 0.9445 0.7221 0.0514



11.
Starting from DFT lattice parameters and positions (GGA-PBE), the XRD peak list of Rb2U2TiSe6 was calculated for λ = 1.5418 Å (Cu Kα).

The 12 most intense peaks (2θ = 10–90°), by angle:
- 2θ = 10.68°, d 8.284, rel. 1000
- 2θ = 16.31°, d 5.436, rel. 169
- 2θ = 20.58°, d 4.315, rel. 126
- 2θ = 29.28°, d 3.050, rel. 468
- 2θ = 29.56°, d 3.022, rel. 911
- 2θ = 35.98°, d 2.496, rel. 112
- 2θ = 36.29°, d 2.476, rel. 209
- 2θ = 38.90°, d 2.315, rel. 470
- 2θ = 45.12°, d 2.010, rel. 306
- 2θ = 45.45°, d 1.995, rel. 170
- 2θ = 48.01°, d 1.895, rel. 126
- 2θ = 54.98°, d 1.670, rel. 166

Cell and atoms:
a b c (Å): 6.9292 6.9292 8.6183
angles (deg): 97.99 97.99 119.54
Sites, in units of the cell vectors:
Rb1 0.1700 0.8300 0.0000
Rb2 0.8300 0.1700 0.0000
U1 0.3329 0.6671 0.5000
U2 0.6671 0.3329 0.5000
Ti1 0.0000 0.0000 0.5000
Se1 0.0675 0.3812 0.6905
Se2 0.2498 0.2498 0.3109
Se3 0.3812 0.0675 0.6905
Se4 0.6188 0.9325 0.3095
Se5 0.7502 0.7502 0.6891
Se6 0.9325 0.6188 0.3095



12.
Starting from DFT lattice parameters and positions (GGA-PBE), the XRD peak list of SmTm2Cu6 was calculated for λ = 1.5418 Å (Cu Kα).

The 12 most intense peaks (2θ = 10–90°), by angle:
- 2θ = 24.35°, d 3.656, rel. 202
- 2θ = 35.18°, d 2.551, rel. 1000
- 2θ = 42.84°, d 2.111, rel. 485
- 2θ = 49.89°, d 1.828, rel. 31
- 2θ = 51.31°, d 1.781, rel. 94
- 2θ = 56.59°, d 1.626, rel. 250
- 2θ = 57.58°, d 1.601, rel. 42
- 2θ = 69.00°, d 1.361, rel. 224
- 2θ = 73.51°, d 1.288, rel. 225
- 2θ = 78.48°, d 1.219, rel. 77
- 2θ = 86.13°, d 1.129, rel. 75
- 2θ = 89.85°, d 1.092, rel. 28

Cell and atoms:
a b c (Å): 7.3121 7.3121 3.5611
angles (deg): 90.00 90.00 120.00
Sites, in units of the cell vectors:
Sm1 0.0000 0.0000 0.0000
Tm1 0.3333 0.6667 0.0000
Tm2 0.6667 0.3333 0.0000
Cu1 0.0000 0.3357 0.5000
Cu2 0.0000 0.6643 0.5000
Cu3 0.3357 0.0000 0.5000
Cu4 0.3357 0.3357 0.5000
Cu5 0.6643 0.0000 0.5000
Cu6 0.6643 0.6643 0.5000



13.
Starting from DFT lattice parameters and positions (GGA-PBE), the XRD peak list of Tb6Ce2Y3Ho was calculated for λ = 1.5418 Å (Cu Kα).

The 12 most intense peaks (2θ = 10–90°), by angle:
- 2θ = 15.27°, d 5.804, rel. 24
- 2θ = 29.14°, d 3.065, rel. 8
- 2θ = 29.48°, d 3.030, rel. 16
- 2θ = 30.82°, d 2.901, rel. 1000
- 2θ = 35.74°, d 2.512, rel. 505
- 2θ = 51.44°, d 1.777, rel. 356
- 2θ = 61.17°, d 1.515, rel. 175
- 2θ = 61.18°, d 1.515, rel. 246
- 2θ = 64.21°, d 1.451, rel. 121
- 2θ = 75.71°, d 1.256, rel. 56
- 2θ = 83.94°, d 1.153, rel. 174
- 2θ = 86.65°, d 1.124, rel. 162

Cell and atoms:
a b c (Å): 6.1535 6.1535 11.7873
angles (deg): 94.99 94.99 120.00
Sites, in units of the cell vectors:
Tb1 0.0813 0.4168 0.7521
Tb2 0.2478 0.2478 0.2481
Tb3 0.4168 0.0813 0.7521
Tb4 0.5832 0.9187 0.2479
Tb5 0.7522 0.7522 0.7519
Tb6 0.9187 0.5832 0.2479
Ce1 0.1665 0.8335 0.0000
Ce2 0.8335 0.1665 0.0000
Y1 0.0000 0.0000 0.5000
Y2 0.3339 0.6661 0.5000
Y3 0.6661 0.3339 0.5000
Ho1 0.5000 0.5000 0.0000